This entry pairs a crystal structure of Ac2NiPb2 with its theoretical XRD peak list. Radiation: Cu Kα. Structure: a GGA-PBE-relaxed structure.
Kinematic intensities with the Lorentz-polarization factor, no thermal factor.

The 12 most intense peaks (2θ from 15° to 90°), sorted by position:
| 2θ/deg | intensity | h k l |
| --- | --- | --- |
| 24.01 | 39.6 | 1 1 -2 |
| 28.66 | 100.0 | 1 1 2 |
| 29.09 | 44.3 | 4 0 -2 |
| 29.47 | 31.2 | 3 1 -1 |
| 31.46 | 29.6 | 3 1 0 |
| 31.90 | 44.0 | 0 0 4 |
| 35.90 | 60.0 | 3 1 -4 |
| 39.37 | 39.2 | 0 2 0 |
| 49.69 | 23.3 | 4 2 -2 |
| 51.53 | 25.8 | 0 2 4 |
| 56.21 | 26.0 | 7 1 -3 |
| 57.36 | 20.1 | 1 1 6 |

Atomic structure:
```
data_Ac2NiPb2
_space_group_name_H-M_alt 'C 1 2/m 1'
_space_group_IT_number 12
_cell_length_a 12.283
_cell_length_b 4.577
_cell_length_c 12.656
_cell_angle_alpha 90.00
_cell_angle_beta 117.56
_cell_angle_gamma 90.00
loop_
_space_group_symop_operation_xyz
'x,y,z'
'-x,-y,-z'
'-x,y,-z'
'x,-y,z'
'x+1/2,y+1/2,z'
'-x+1/2,-y+1/2,-z'
'-x+1/2,y+1/2,-z'
'x+1/2,-y+1/2,z'
loop_
_atom_site_label
_atom_site_fract_x
_atom_site_fract_y
_atom_site_fract_z
_atom_site_occupancy
Ac1 0.088 0.000 0.387 1
Ac2 0.203 0.500 0.143 1
Ni1 0.062 0.500 0.797 1
Pb1 0.050 0.000 0.908 1
Pb2 0.134 0.500 0.623 1
```

=====

This entry pairs a crystal structure of CrCo5 with its theoretical XRD peak list. Radiation: Cu Kα. Structure: a GGA-PBE-relaxed structure.
Kinematic intensities with the Lorentz-polarization factor, no thermal factor.

The 12 most intense peaks (2θ from 15° to 90°), sorted by position:
| 2θ/deg | intensity | h k l |
| --- | --- | --- |
| 41.55 | 24.6 | 1 1 1 |
| 41.83 | 13.1 | 2 0 2 |
| 45.41 | 38.4 | 4 0 -2 |
| 47.63 | 100.0 | 3 1 0 |
| 47.82 | 24.0 | 4 0 1 |
| 47.96 | 23.8 | 0 0 3 |
| 63.17 | 6.4 | 5 1 -1 |
| 63.30 | 9.8 | 6 0 0 |
| 75.60 | 7.4 | 0 2 0 |
| 76.20 | 14.4 | 3 1 3 |
| 85.45 | 7.9 | 7 1 -2 |
| 85.59 | 11.7 | 5 1 -4 |

Atomic structure:
```
data_CrCo5
_space_group_name_H-M_alt 'C 1 m 1'
_space_group_IT_number 8
_cell_length_a 9.095
_cell_length_b 2.515
_cell_length_c 5.873
_cell_angle_alpha 90.00
_cell_angle_beta 104.31
_cell_angle_gamma 90.00
loop_
_space_group_symop_operation_xyz
'x,y,z'
'x,-y,z'
'x+1/2,y+1/2,z'
'x+1/2,-y+1/2,z'
loop_
_atom_site_label
_atom_site_fract_x
_atom_site_fract_y
_atom_site_fract_z
_atom_site_occupancy
Cr1 0.000 0.000 0.000 1
Co1 0.112 0.500 0.723 1
Co2 0.168 0.500 0.333 1
Co3 0.278 0.000 0.057 1
Co4 0.333 0.000 0.665 1
Co5 0.447 0.500 0.390 1
```